(1)
# EuBe13
Calculated XRD peak list, Cu Ka. Input: a DFT-relaxed cell (PBE, the Materials Project).

The 8 most intense peaks (2θ from 15° to 90°), low angle first:
two_theta  I/Imax
16.92  85
24.01  100
29.52  45
38.40  73
42.23  61
52.37  23
55.43  26
66.78  29

Atomic structure:
```
data_EuBe13
_cell_length_a 10.483
_cell_length_b 10.483
_cell_length_c 10.483
_cell_angle_alpha 90.00
_cell_angle_beta 90.00
_cell_angle_gamma 90.00
_space_group_name_H-M_alt 'F m -3 c'
_space_group_IT_number 226
_space_group_name_Hall '-F 4a 2 3'
loop_
_atom_site_label
_atom_site_type_symbol
_atom_site_fract_x
_atom_site_fract_y
_atom_site_fract_z
_atom_site_occupancy
Eu1 Eu 0.250 0.250 0.250 1
Be1 Be 0.000 0.000 0.000 1
Be2 Be 0.000 0.112 0.176 1
```

---

(2)
# Lu2Ni3B6
Calculated XRD peak list, Cu Ka. Input: a DFT-relaxed cell (PBE, the Materials Project).

The 8 most intense peaks (2θ from 15° to 90°), low angle first:
two_theta  I/Imax
23.31  24
25.98  38
31.41  52
33.50  39
41.20  100
42.24  18
47.66  17
63.30  14

Atomic structure:
```
data_Lu2Ni3B6
_cell_length_a 7.632
_cell_length_b 8.559
_cell_length_c 3.430
_cell_angle_alpha 90.00
_cell_angle_beta 90.00
_cell_angle_gamma 90.00
_space_group_name_H-M_alt 'C m m m'
_space_group_IT_number 65
_space_group_name_Hall '-C 2 2'
loop_
_atom_site_label
_atom_site_type_symbol
_atom_site_fract_x
_atom_site_fract_y
_atom_site_fract_z
_atom_site_occupancy
Lu1 Lu 0.000 0.225 0.000 1
Ni1 Ni 0.000 0.500 0.500 1
Ni2 Ni 0.229 0.500 0.000 1
B1 B 0.112 0.000 0.500 1
B2 B 0.234 0.349 0.500 1
```

---

(3)
# U20Si16C3
Calculated XRD peak list, Cu Ka. Input: a DFT-relaxed cell (PBE, the Materials Project).

The 8 most intense peaks (2θ from 15° to 90°), low angle first:
two_theta  I/Imax
26.34  28
30.27  25
34.71  20
35.00  100
40.30  24
53.95  16
56.48  15
58.50  21

Atomic structure:
```
data_U20Si16C3
_cell_length_a 10.3369
_cell_length_b 10.3369
_cell_length_c 7.8579
_cell_angle_alpha 90.00
_cell_angle_beta 90.00
_cell_angle_gamma 120.00
_space_group_name_H-M_alt 'P 6/m m m'
_space_group_IT_number 191
_space_group_name_Hall '-P 6 2'
loop_
_atom_site_label
_atom_site_type_symbol
_atom_site_fract_x
_atom_site_fract_y
_atom_site_fract_z
_atom_site_occupancy
U1 U 0.0000 0.0000 0.0000 1
U2 U 0.0000 0.0000 0.5000 1
U3 U 0.0000 0.5000 0.2003 1
U4 U 0.2130 0.4260 0.0000 1
U5 U 0.2168 0.4335 0.5000 1
Si1 Si 0.0000 0.2267 0.2508 1
Si2 Si 0.3333 0.6667 0.2456 1
C1 C 0.0000 0.5000 0.5000 1
```

---

(4)
# ZnPd3
Calculated XRD peak list, Cu Ka. Input: a DFT-relaxed cell (PBE, the Materials Project).

The 8 most intense peaks (2θ from 15° to 90°), low angle first:
two_theta  I/Imax
39.71  100
45.80  33
46.93  15
66.78  10
67.66  20
80.59  24
82.23  11
85.57  10

Atomic structure:
```
data_ZnPd3
_cell_length_a 3.962
_cell_length_b 3.962
_cell_length_c 7.745
_cell_angle_alpha 90.00
_cell_angle_beta 90.00
_cell_angle_gamma 90.00
_space_group_name_H-M_alt 'I 4/m m m'
_space_group_IT_number 139
_space_group_name_Hall '-I 4 2'
loop_
_atom_site_label
_atom_site_type_symbol
_atom_site_fract_x
_atom_site_fract_y
_atom_site_fract_z
_atom_site_occupancy
Zn1 Zn 0.000 0.000 0.000 1
Pd1 Pd 0.000 0.000 0.500 1
Pd2 Pd 0.000 0.500 0.250 1
```

---

(5)
# Ce2BiN
Calculated XRD peak list, Cu Ka. Input: a DFT-relaxed cell (PBE, the Materials Project).

The 8 most intense peaks (2θ from 15° to 90°), low angle first:
two_theta  I/Imax
26.92  30
28.64  72
29.12  51
33.33  100
38.43  61
48.93  50
57.27  30
66.28  28

Atomic structure:
```
data_Ce2BiN
_cell_length_a 4.685
_cell_length_b 4.685
_cell_length_c 9.201
_cell_angle_alpha 90.00
_cell_angle_beta 90.00
_cell_angle_gamma 90.00
_space_group_name_H-M_alt 'P 4/n m m'
_space_group_IT_number 129
loop_
_space_group_symop_operation_xyz
'x,y,z'
'-x,-y,-z'
'-y+1/2,x,z'
'y+1/2,-x,-z'
'-x+1/2,-y+1/2,z'
'x+1/2,y+1/2,-z'
'y,-x+1/2,z'
'-y,x+1/2,-z'
'x+1/2,-y,-z'
'-x+1/2,y,z'
'-y,-x,-z'
'y,x,z'
'-x,y+1/2,-z'
'x,-y+1/2,z'
'y+1/2,x+1/2,-z'
'-y+1/2,-x+1/2,z'
loop_
_atom_site_label
_atom_site_type_symbol
_atom_site_fract_x
_atom_site_fract_y
_atom_site_fract_z
_atom_site_occupancy
Ce1 Ce 0.250 0.250 0.171 1
Ce2 Ce 0.250 0.750 0.500 1
Bi1 Bi 0.250 0.250 0.802 1
N1 N 0.250 0.250 0.412 1
```

---

(6)
# Mg6FeC
Calculated XRD peak list, Cu Ka. Input: a DFT-relaxed cell (PBE, the Materials Project).

The 8 most intense peaks (2θ from 15° to 90°), low angle first:
two_theta  I/Imax
17.58  25
31.07  16
35.60  33
38.38  16
38.65  100
39.35  18
42.51  18
65.97  15

Atomic structure:
```
data_Mg6FeC
_cell_length_a 3.170
_cell_length_b 9.381
_cell_length_c 10.087
_cell_angle_alpha 90.00
_cell_angle_beta 90.00
_cell_angle_gamma 90.00
_space_group_name_H-M_alt 'A m m 2'
_space_group_IT_number 38
_space_group_name_Hall 'A 2 -2'
loop_
_atom_site_label
_atom_site_type_symbol
_atom_site_fract_x
_atom_site_fract_y
_atom_site_fract_z
_atom_site_occupancy
Mg1 Mg 0.000 0.000 0.000 1
Mg2 Mg 0.000 0.171 0.272 1
Mg3 Mg 0.500 0.000 0.746 1
Mg4 Mg 0.500 0.230 0.526 1
Fe1 Fe 0.000 0.000 0.485 1
C1 C 0.500 0.000 0.402 1
```

---

(7)
# Gd3Se3N
Calculated XRD peak list, Cu Ka. Input: a DFT-relaxed cell (PBE, the Materials Project).

The 8 most intense peaks (2θ from 15° to 90°), low angle first:
two_theta  I/Imax
24.95  37
26.26  43
26.84  87
30.86  51
31.44  49
33.59  67
37.90  100
45.15  41

Atomic structure:
```
data_Gd3Se3N
_cell_length_a 12.694
_cell_length_b 4.016
_cell_length_c 13.294
_cell_angle_alpha 90.00
_cell_angle_beta 90.00
_cell_angle_gamma 90.00
_space_group_name_H-M_alt 'P n m a'
_space_group_IT_number 62
_space_group_name_Hall '-P 2ac 2n'
loop_
_atom_site_label
_atom_site_type_symbol
_atom_site_fract_x
_atom_site_fract_y
_atom_site_fract_z
_atom_site_occupancy
Gd1 Gd 0.041 0.250 0.151 1
Gd2 Gd 0.065 0.250 0.633 1
Gd3 Gd 0.206 0.250 0.859 1
Se1 Se 0.095 0.250 0.396 1
Se2 Se 0.130 0.750 0.995 1
Se3 Se 0.225 0.750 0.689 1
N1 N 0.039 0.250 0.797 1
```

---

(8)
# Mg16Al12Br
Calculated XRD peak list, Cu Ka. Input: a DFT-relaxed cell (PBE, the Materials Project).

The 8 most intense peaks (2θ from 15° to 90°), low angle first:
two_theta  I/Imax
35.14  100
35.91  53
36.06  39
36.21  49
36.71  96
38.08  32
40.70  29
42.01  36

Atomic structure:
```
data_Mg16Al12Br
_cell_length_a 10.670
_cell_length_b 14.577
_cell_length_c 9.082
_cell_angle_alpha 90.00
_cell_angle_beta 122.37
_cell_angle_gamma 90.00
_space_group_name_H-M_alt 'C 1 m 1'
_space_group_IT_number 8
_space_group_name_Hall 'C -2y'
loop_
_atom_site_label
_atom_site_type_symbol
_atom_site_fract_x
_atom_site_fract_y
_atom_site_fract_z
_atom_site_occupancy
Mg1 Mg 0.000 0.000 0.000 1
Mg2 Mg 0.004 0.000 0.345 1
Mg3 Mg 0.021 0.304 0.665 1
Mg4 Mg 0.033 0.363 0.336 1
Mg5 Mg 0.202 0.203 0.024 1
Mg6 Mg 0.312 0.000 0.050 1
Mg7 Mg 0.331 0.323 0.355 1
Mg8 Mg 0.336 0.000 0.663 1
Mg9 Mg 0.351 0.343 0.750 1
Mg10 Mg 0.448 0.152 0.943 1
Al1 Al 0.103 0.094 0.711 1
Al2 Al 0.140 0.500 0.184 1
Al3 Al 0.188 0.191 0.526 1
Al4 Al 0.238 0.405 0.998 1
Al5 Al 0.253 0.094 0.319 1
Al6 Al 0.343 0.500 0.532 1
Al7 Al 0.496 0.313 0.157 1
Br1 Br 0.083 0.500 0.593 1
```

---

(9)
# KPO4
Calculated XRD peak list, Cu Ka. Input: a DFT-relaxed cell (PBE, the Materials Project).

The 8 most intense peaks (2θ from 15° to 90°), low angle first:
two_theta  I/Imax
23.15  71
23.92  85
26.10  45
27.03  100
27.91  33
33.53  54
39.10  22
43.73  31

Atomic structure:
```
data_KPO4
_cell_length_a 7.405
_cell_length_b 7.685
_cell_length_c 9.662
_cell_angle_alpha 90.00
_cell_angle_beta 129.64
_cell_angle_gamma 90.00
_space_group_name_H-M_alt 'P 1 21/c 1'
_space_group_IT_number 14
_space_group_name_Hall '-P 2ybc'
loop_
_atom_site_label
_atom_site_type_symbol
_atom_site_fract_x
_atom_site_fract_y
_atom_site_fract_z
_atom_site_occupancy
K1 K 0.117 0.196 0.216 1
P1 P 0.349 0.700 0.255 1
O1 O 0.153 0.664 0.674 1
O2 O 0.302 0.549 0.333 1
O3 O 0.343 0.626 0.102 1
O4 O 0.405 0.220 0.603 1
```

---

(10)
# Cd2P2O7
Calculated XRD peak list, Cu Ka. Input: a DFT-relaxed cell (PBE, the Materials Project).

The 8 most intense peaks (2θ from 15° to 90°), low angle first:
two_theta  I/Imax
20.77  29
26.00  21
27.35  21
28.29  100
29.28  46
30.96  49
37.88  35
41.07  20

Atomic structure:
```
data_Cd2P2O7
_cell_length_a 6.697
_cell_length_b 6.812
_cell_length_c 6.955
_cell_angle_alpha 83.10
_cell_angle_beta 65.21
_cell_angle_gamma 81.60
_space_group_name_H-M_alt 'P -1'
_space_group_IT_number 2
_space_group_name_Hall '-P 1'
loop_
_atom_site_label
_atom_site_type_symbol
_atom_site_fract_x
_atom_site_fract_y
_atom_site_fract_z
_atom_site_occupancy
Cd1 Cd 0.116 0.165 0.251 1
Cd2 Cd 0.284 0.347 0.649 1
P1 P 0.231 0.662 0.251 1
P2 P 0.358 0.865 0.817 1
O1 O 0.070 0.838 0.364 1
O2 O 0.091 0.511 0.230 1
O3 O 0.209 0.751 0.768 1
O4 O 0.261 0.079 0.887 1
O5 O 0.389 0.570 0.353 1
O6 O 0.396 0.745 0.020 1
O7 O 0.404 0.140 0.356 1
```

---

(11)
# Fe3CuSn2S8
Calculated XRD peak list, Cu Ka. Input: a DFT-relaxed cell (PBE, the Materials Project).

The 8 most intense peaks (2θ from 15° to 90°), low angle first:
two_theta  I/Imax
15.35  41
29.26  100
29.56  88
35.66  61
35.77  30
47.04  46
51.40  90
51.87  24

Atomic structure:
```
data_Fe3CuSn2S8
_cell_length_a 7.051
_cell_length_b 7.193
_cell_length_c 10.042
_cell_angle_alpha 90.00
_cell_angle_beta 90.00
_cell_angle_gamma 90.00
_space_group_name_H-M_alt 'I m m 2'
_space_group_IT_number 44
_space_group_name_Hall 'I 2 -2'
loop_
_atom_site_label
_atom_site_type_symbol
_atom_site_fract_x
_atom_site_fract_y
_atom_site_fract_z
_atom_site_occupancy
Fe1 Fe 0.000 0.000 0.000 1
Fe2 Fe 0.246 0.000 0.382 1
Cu1 Cu 0.000 0.500 0.264 1
Sn1 Sn 0.000 0.247 0.630 1
S1 S 0.000 0.215 0.378 1
S2 S 0.000 0.283 0.884 1
S3 S 0.239 0.000 0.152 1
S4 S 0.242 0.500 0.108 1
```

---

Q: Number 11 is which compound?
A: Fe3CuSn2S8